Record 1
# BaCoP2O7
Simulated powder diffraction line list, Cu Kα (λ = 1.5418 Å). Input: a GGA+U-relaxed structure.

Top 10 peaks for 5 to 70 degrees two-theta, low angle first:
| index | 2theta | intensity |
| --- | --- | --- |
| 1 1 -1 | 22.61 | 48 |
| -1 1 1 | 24.13 | 54 |
| 0 2 0 | 24.39 | 98 |
| 1 1 1 | 26.14 | 49 |
| 1 0 -2 | 28.45 | 69 |
| 1 -2 1 | 29.01 | 100 |
| 1 1 -2 | 29.29 | 60 |
| 0 2 1 | 29.57 | 76 |
| 1 0 2 | 29.76 | 97 |
| 2 0 0 | 33.42 | 69 |

abc: 5.3813 7.5122 7.6853
angles: 102.98 91.76 93.91
Fractional positions:
Ba (0.2079, 0.2775, 0.4332)
Ba (0.7921, 0.7225, 0.5668)
Co (0.1997, 0.1105, 0.8943)
Co (0.8003, 0.8895, 0.1057)
P (0.2933, 0.6922, 0.9006)
P (0.2947, 0.7698, 0.2853)
P (0.7053, 0.2302, 0.7147)
P (0.7067, 0.3078, 0.0994)
O (0.0679, 0.8877, 0.2995)
O (0.1074, 0.8460, 0.9089)
O (0.2182, 0.5276, 0.7533)
O (0.2679, 0.6302, 0.0893)
O (0.2890, 0.6532, 0.4238)
O (0.4357, 0.2267, 0.1030)
O (0.4570, 0.1128, 0.7033)
O (0.5430, 0.8872, 0.2967)
O (0.5643, 0.7733, 0.8970)
O (0.7110, 0.3468, 0.5762)
O (0.7321, 0.3698, 0.9107)
O (0.7817, 0.4724, 0.2467)
O (0.8926, 0.1540, 0.0911)
O (0.9321, 0.1123, 0.7005)



Record 2
# Ba6Pr2Co4O15
Simulated powder diffraction line list, Cu Kα (λ = 1.5418 Å). Input: a GGA+U-relaxed structure.

Top 10 peaks for 5 to 70 degrees two-theta, low angle first:
| index | 2theta | intensity |
| --- | --- | --- |
| 1 -3 2 | 26.04 | 29 |
| -2 1 1 | 29.01 | 30 |
| 2 -2 1 | 29.23 | 28 |
| 2 1 1 | 29.34 | 30 |
| 0 2 2 | 29.68 | 100 |
| 0 2 -4 | 29.83 | 98 |
| 0 4 -2 | 29.96 | 98 |
| 2 0 2 | 30.61 | 70 |
| 2 -3 3 | 36.40 | 47 |
| 2 -4 4 | 43.36 | 27 |

abc: 7.1149 11.9312 11.9834
angles: 119.54 90.63 90.17
Fractional positions:
Ba (0.0000, 0.0000, 0.0000)
Ba (0.0005, 0.0031, 0.4672)
Ba (0.1623, 0.3513, 0.6969)
Ba (0.3219, 0.1633, 0.3097)
Ba (0.3254, 0.8308, 0.6476)
Ba (0.4955, 0.6517, 0.8257)
Ba (0.4987, 0.6535, 0.2972)
Ba (0.5009, 0.1830, 0.8216)
Ba (0.6591, 0.8760, 0.1676)
Ba (0.8123, 0.4950, 0.9811)
Ba (0.8239, 0.8329, 0.6508)
Ba (0.9993, 0.4815, 0.4692)
Pr (0.1640, 0.7797, 0.1213)
Pr (0.1705, 0.3560, 0.1269)
Pr (0.6628, 0.3026, 0.5999)
Pr (0.6690, 0.3094, 0.1728)
Co (0.0001, 0.6519, 0.2951)
Co (0.3524, 0.4899, 0.9785)
Co (0.4900, 0.0119, 0.0021)
Co (0.4962, 0.0036, 0.4664)
Co (0.5022, 0.4775, 0.4704)
Co (0.8674, 0.1645, 0.3126)
Co (0.9926, 0.1861, 0.8305)
Co (0.9937, 0.6458, 0.8177)
O (0.0041, 0.2462, 0.2282)
O (0.0099, 0.0030, 0.2317)
O (0.0811, 0.7217, 0.4603)
O (0.0924, 0.7334, 0.7445)
O (0.0936, 0.0282, 0.7373)
O (0.1691, 0.5864, 0.9064)
O (0.1724, 0.5785, 0.1531)
O (0.1795, 0.3268, 0.9090)
O (0.3420, 0.8983, 0.0391)
O (0.3461, 0.8915, 0.3221)
O (0.3618, 0.1626, 0.0459)
O (0.3732, 0.4289, 0.3095)
O (0.3828, 0.4312, 0.5748)
O (0.3873, 0.1580, 0.5836)
O (0.4895, 0.6465, 0.0564)
O (0.5010, 0.4141, 0.0671)
O (0.5124, 0.4148, 0.8185)
O (0.5863, 0.9176, 0.5463)
O (0.5876, 0.9212, 0.8427)
O (0.5901, 0.6402, 0.5384)
O (0.6663, 0.0856, 0.4050)
O (0.6723, 0.0899, 0.1426)
O (0.6779, 0.3353, 0.3937)
O (0.8441, 0.2229, 0.7172)
O (0.8457, 0.5061, 0.7122)
O (0.8625, 0.2314, 0.9787)
O (0.8759, 0.4915, 0.2487)
O (0.8855, 0.7623, 0.2531)
O (0.8854, 0.7621, 0.9769)
O (0.9866, 0.2428, 0.4713)